Diffraction record for LaY3Mg4. The X-ray powder pattern is simulated, not measured: it uses a DFT-relaxed cell (PBE, Alexandria) and Cu Kα (weighted mean of Kα1 and Kα2).
No peak broadening, texture or thermal motion is included.

Main lines, by intensity (2θ from 5° to 70°):
- (2 0 0), d 2.715, 33.0°, intensity 100.0
- (0 0 2), d 3.839, 23.2°, intensity 44.4
- (3 1 2), d 1.567, 58.9°, intensity 36.2
- (1 1 4), d 1.717, 53.4°, intensity 17.9
- (2 2 0), d 1.920, 47.4°, intensity 17.7
- (2 0 2), d 2.217, 40.7°, intensity 13.2
- (4 0 0), d 1.357, 69.2°, intensity 11.0
- (1 0 1), d 4.433, 20.0°, intensity 1.8
- (1 0 0), d 5.428, 16.3°, intensity 1.4
- (1 1 1), d 3.434, 25.9°, intensity 1.2
- (0 0 1), d 7.682, 11.5°, intensity 1.2
- (2 1 1), d 2.315, 38.9°, intensity 1.0

```
data_LaY3Mg4
_chemical_formula_sum 'La1 Y3 Mg4'
_cell_length_a 5.428
_cell_length_b 5.428
_cell_length_c 7.682
_cell_angle_alpha 90.00
_cell_angle_beta 90.00
_cell_angle_gamma 90.00
_symmetry_space_group_name_H-M 'P 4/m m m'
_symmetry_Int_Tables_number 123
_symmetry_space_group_name_Hall '-P 4 2'
loop_
_atom_site_label
_atom_site_type_symbol
_atom_site_fract_x
_atom_site_fract_y
_atom_site_fract_z
_atom_site_occupancy
La1 La 0.000 0.000 0.000 1
Y1 Y 0.000 0.000 0.500 1
Y2 Y 0.500 0.500 0.000 1
Y3 Y 0.500 0.500 0.500 1
Mg1 Mg 0.000 0.500 0.257 1
```